Record 1
TeRuSe: simulated X-ray powder pattern (Cu Kα), based on a structure optimized by DFT (PBE).
Peak positions follow from Bragg's law for the DFT cell and can differ from measured ones.

Principal peaks in the range 10° ≤ 2θ ≤ 80°, in order of rising 2θ:
- d 3.123, I = 34
- d 2.793, I = 100
- d 2.550, I = 74
- d 2.208, I = 24
- d 1.883, I = 86
- d 1.803, I = 10
- d 1.732, I = 24
- d 1.669, I = 41
- d 1.363, I = 21
- d 1.202, I = 26

Structure:
```
data_TeRuSe
_symmetry_space_group_name_H-M 'P 21 3'
_symmetry_Int_Tables_number 198
_symmetry_space_group_name_Hall 'P 2ac 2ab 3'
_cell_length_a 6.2461
_cell_length_b 6.2461
_cell_length_c 6.2461
_cell_angle_alpha 90.00
_cell_angle_beta 90.00
_cell_angle_gamma 90.00
loop_
_atom_site_label
_atom_site_type_symbol
_atom_site_fract_x
_atom_site_fract_y
_atom_site_fract_z
Te1 Te 0.1248 0.3752 0.6248
Ru1 Ru 0.0069 0.9931 0.4931
Se1 Se 0.1229 0.1229 0.1229
```

Record 2
Si3Ru: simulated X-ray powder pattern (Cu Kα), based on a structure optimized by DFT (PBE).
Peak positions follow from Bragg's law for the DFT cell and can differ from measured ones.

Principal peaks in the range 10° ≤ 2θ ≤ 80°, in order of rising 2θ:
- d 3.481, I = 41
- d 3.015, I = 21
- d 2.132, I = 100
- d 1.818, I = 19
- d 1.741, I = 6
- d 1.507, I = 16
- d 1.383, I = 8
- d 1.348, I = 7
- d 1.231, I = 33

Structure:
```
data_Si3Ru
_symmetry_space_group_name_H-M 'F m -3 m'
_symmetry_Int_Tables_number 225
_symmetry_space_group_name_Hall '-F 4 2 3'
_cell_length_a 6.0294
_cell_length_b 6.0294
_cell_length_c 6.0294
_cell_angle_alpha 90.00
_cell_angle_beta 90.00
_cell_angle_gamma 90.00
loop_
_atom_site_label
_atom_site_type_symbol
_atom_site_fract_x
_atom_site_fract_y
_atom_site_fract_z
Si1 Si 0.0000 0.0000 0.0000
Si2 Si 0.2500 0.2500 0.2500
Ru1 Ru 0.0000 0.0000 0.5000
```

Record 3
Si2Ru: simulated X-ray powder pattern (Cu Kα), based on a structure optimized by DFT (PBE).
Peak positions follow from Bragg's law for the DFT cell and can differ from measured ones.

Principal peaks in the range 10° ≤ 2θ ≤ 80°, in order of rising 2θ:
- d 3.203, I = 97
- d 3.178, I = 100
- d 2.965, I = 26
- d 2.494, I = 33
- d 2.065, I = 28
- d 2.052, I = 29
- d 1.958, I = 35
- d 1.923, I = 24
- d 1.912, I = 65
- d 1.895, I = 28

Structure:
```
data_Si2Ru
_symmetry_space_group_name_H-M 'C m c e'
_symmetry_Int_Tables_number 64
_symmetry_space_group_name_Hall '-C 2ac 2'
_cell_length_a 10.1956
_cell_length_b 8.1300
_cell_length_c 8.2327
_cell_angle_alpha 90.00
_cell_angle_beta 90.00
_cell_angle_gamma 90.00
loop_
_atom_site_label
_atom_site_type_symbol
_atom_site_fract_x
_atom_site_fract_y
_atom_site_fract_z
Si1 Si 0.1268 0.0509 0.2247
Si2 Si 0.1276 0.2228 0.9442
Ru1 Ru 0.0000 0.1885 0.6829
Ru2 Ru 0.2148 0.0000 0.5000
```

Record 4
SiRu: simulated X-ray powder pattern (Cu Kα), based on a structure optimized by DFT (PBE).
Peak positions follow from Bragg's law for the DFT cell and can differ from measured ones.

Principal peaks in the range 10° ≤ 2θ ≤ 80°, in order of rising 2θ:
- d 3.355, I = 43
- d 2.739, I = 21
- d 2.372, I = 2
- d 2.122, I = 100
- d 1.937, I = 47
- d 1.500, I = 8
- d 1.430, I = 14
- d 1.369, I = 9
- d 1.316, I = 12
- d 1.268, I = 24

Structure:
```
data_SiRu
_symmetry_space_group_name_H-M 'P 21 3'
_symmetry_Int_Tables_number 198
_symmetry_space_group_name_Hall 'P 2ac 2ab 3'
_cell_length_a 4.7440
_cell_length_b 4.7440
_cell_length_c 4.7440
_cell_angle_alpha 90.00
_cell_angle_beta 90.00
_cell_angle_gamma 90.00
loop_
_atom_site_label
_atom_site_type_symbol
_atom_site_fract_x
_atom_site_fract_y
_atom_site_fract_z
Si1 Si 0.1628 0.3372 0.6628
Ru1 Ru 0.1292 0.1292 0.1292
```

Record 5
Si3Ru5: simulated X-ray powder pattern (Cu Kα), based on a structure optimized by DFT (PBE).
Peak positions follow from Bragg's law for the DFT cell and can differ from measured ones.

Principal peaks in the range 10° ≤ 2θ ≤ 80°, in order of rising 2θ:
- d 3.055, I = 26
- d 2.692, I = 51
- d 2.355, I = 17
- d 2.174, I = 92
- d 2.101, I = 100
- d 2.077, I = 43
- d 2.031, I = 35
- d 2.007, I = 55
- d 1.443, I = 26
- d 1.258, I = 21

Structure:
```
data_Si3Ru5
_symmetry_space_group_name_H-M 'P b a m'
_symmetry_Int_Tables_number 55
_cell_length_a 5.3592
_cell_length_b 9.8659
_cell_length_c 4.0136
_cell_angle_alpha 90.00
_cell_angle_beta 90.00
_cell_angle_gamma 90.00
loop_
_symmetry_equiv_pos_as_xyz
'x,y,z'
'-x,-y,-z'
'-x,-y,z'
'x,y,-z'
'x+1/2,-y+1/2,-z'
'-x+1/2,y+1/2,z'
'-x+1/2,y+1/2,-z'
'x+1/2,-y+1/2,z'
loop_
_atom_site_label
_atom_site_type_symbol
_atom_site_fract_x
_atom_site_fract_y
_atom_site_fract_z
Si1 Si 0.0000 0.0000 0.0000
Si2 Si 0.1115 0.3536 0.5000
Ru1 Ru 0.0000 0.5000 0.0000
Ru2 Ru 0.1572 0.7736 0.0000
Ru3 Ru 0.1652 0.1064 0.5000
```

Record 6
Si3Ru2: simulated X-ray powder pattern (Cu Kα), based on a structure optimized by DFT (PBE).
Peak positions follow from Bragg's law for the DFT cell and can differ from measured ones.

Principal peaks in the range 10° ≤ 2θ ≤ 80°, in order of rising 2θ:
- d 3.504, I = 91
- d 2.787, I = 52
- d 2.181, I = 100
- d 1.971, I = 34
- d 1.956, I = 61
- d 1.718, I = 33
- d 1.462, I = 15
- d 1.388, I = 24
- d 1.295, I = 14
- d 1.246, I = 16

Structure:
```
data_Si3Ru2
_symmetry_space_group_name_H-M 'P b c n'
_symmetry_Int_Tables_number 60
_cell_length_a 11.1485
_cell_length_b 9.0092
_cell_length_c 5.5743
_cell_angle_alpha 90.00
_cell_angle_beta 90.00
_cell_angle_gamma 90.00
loop_
_symmetry_equiv_pos_as_xyz
'x,y,z'
'-x,-y,-z'
'-x+1/2,-y+1/2,z+1/2'
'x+1/2,y+1/2,-z+1/2'
'x+1/2,-y+1/2,-z'
'-x+1/2,y+1/2,z'
'-x,y,-z+1/2'
'x,-y,z+1/2'
loop_
_atom_site_label
_atom_site_type_symbol
_atom_site_fract_x
_atom_site_fract_y
_atom_site_fract_z
Si1 Si 0.0734 0.2076 0.0555
Si2 Si 0.1315 0.3946 0.6051
Si3 Si 0.1795 0.0635 0.4131
Ru1 Ru 0.0000 0.0408 0.7500
Ru2 Ru 0.0000 0.4248 0.2500
Ru3 Ru 0.2459 0.1874 0.7638
```

Record 7
Si3Ru2: simulated X-ray powder pattern (Cu Kα), based on a structure optimized by DFT (PBE).
Peak positions follow from Bragg's law for the DFT cell and can differ from measured ones.

Principal peaks in the range 10° ≤ 2θ ≤ 80°, in order of rising 2θ:
- d 3.448, I = 37
- d 3.420, I = 100
- d 2.788, I = 51
- d 2.458, I = 33
- d 2.410, I = 35
- d 2.353, I = 58
- d 2.204, I = 52
- d 2.135, I = 36
- d 2.020, I = 82
- d 2.003, I = 31

Structure:
```
data_Si3Ru2
_symmetry_space_group_name_H-M 'P b c n'
_symmetry_Int_Tables_number 60
_cell_length_a 11.1384
_cell_length_b 8.7833
_cell_length_c 5.7644
_cell_angle_alpha 90.00
_cell_angle_beta 90.00
_cell_angle_gamma 90.00
loop_
_symmetry_equiv_pos_as_xyz
'x,y,z'
'-x,-y,-z'
'-x+1/2,-y+1/2,z+1/2'
'x+1/2,y+1/2,-z+1/2'
'x+1/2,-y+1/2,-z'
'-x+1/2,y+1/2,z'
'-x,y,-z+1/2'
'x,-y,z+1/2'
loop_
_atom_site_label
_atom_site_type_symbol
_atom_site_fract_x
_atom_site_fract_y
_atom_site_fract_z
Si1 Si 0.0381 0.1268 0.0031
Si2 Si 0.1265 0.4971 0.5011
Si3 Si 0.2277 0.1937 0.2749
Ru1 Ru 0.0000 0.3306 0.7500
Ru2 Ru 0.0000 0.3440 0.2500
Ru3 Ru 0.1781 0.0694 0.6361
```

Record 8
Si2Ru: simulated X-ray powder pattern (Cu Kα), based on a structure optimized by DFT (PBE).
Peak positions follow from Bragg's law for the DFT cell and can differ from measured ones.

Principal peaks in the range 10° ≤ 2θ ≤ 80°, in order of rising 2θ:
- d 5.279, I = 100
- d 2.880, I = 11
- d 2.528, I = 93
- d 2.036, I = 48
- d 1.946, I = 79
- d 1.900, I = 26
- d 1.760, I = 10
- d 1.440, I = 15
- d 1.332, I = 16
- d 1.251, I = 19

Structure:
```
data_Si2Ru
_symmetry_space_group_name_H-M 'P 4/m m m'
_symmetry_Int_Tables_number 123
_symmetry_space_group_name_Hall '-P 4 2'
_cell_length_a 2.8800
_cell_length_b 2.8800
_cell_length_c 5.2794
_cell_angle_alpha 90.00
_cell_angle_beta 90.00
_cell_angle_gamma 90.00
loop_
_atom_site_label
_atom_site_type_symbol
_atom_site_fract_x
_atom_site_fract_y
_atom_site_fract_z
Si1 Si 0.0000 0.0000 0.2205
Ru1 Ru 0.5000 0.5000 0.5000
```